The following is a simulated powder diffraction line list of Sr4TeAsCl2. It was derived from a structure optimized by DFT (PBE), using Cu Ka.
Kinematic intensities with the Lorentz-polarization factor, no thermal factor.

Atomic structure:
a = 7.616 Å, b = 4.578 Å, c = 8.014 Å
α = 90.00°, β = 110.33°, γ = 90.00°
Sites, in units of the cell vectors:
Sr1 0.235 0.000 0.229
Sr2 0.244 0.500 0.767
Sr3 0.756 0.500 0.233
Sr4 0.765 0.000 0.771
Te1 0.000 0.000 0.500
As1 0.000 0.500 0.000
Cl1 0.500 0.000 0.000
Cl2 0.500 0.500 0.500

Main lines, sorted by position (2θ = 10–90°):
Position (°2θ), I/Imax
12.39, 12.3
27.90, 100.0
39.04, 25.5
39.36, 13.2
40.45, 11.5
40.66, 23.5
48.45, 6.3
48.91, 13.5
51.16, 6.1
57.71, 8.4



The following is a simulated powder diffraction line list of TbSm4Sn2. It was derived from a structure optimized by DFT (PBE), using Cu Ka.
Kinematic intensities with the Lorentz-polarization factor, no thermal factor.

Atomic structure:
a = 10.669 Å, b = 10.669 Å, c = 10.669 Å
α = 28.30°, β = 28.30°, γ = 28.30°
Sites, in units of the cell vectors:
Tb1 0.000 0.000 0.000
Sm1 0.206 0.206 0.206
Sm2 0.387 0.387 0.387
Sm3 0.613 0.613 0.613
Sm4 0.794 0.794 0.794
Sn1 0.101 0.101 0.101
Sn2 0.899 0.899 0.899

Main lines, sorted by position (2θ = 10–90°):
Position (°2θ), I/Imax
19.86, 16.8
24.46, 56.8
30.56, 12.5
34.38, 100.0
35.34, 73.6
42.64, 12.8
50.13, 27.5
61.58, 18.8
62.20, 28.9
83.28, 13.1



The following is a simulated powder diffraction line list of DyYI5. It was derived from a structure optimized by DFT (PBE), using Cu Ka.
Kinematic intensities with the Lorentz-polarization factor, no thermal factor.

Atomic structure:
a = 9.529 Å, b = 4.110 Å, c = 15.550 Å
α = 90.00°, β = 90.20°, γ = 90.00°
Sites, in units of the cell vectors:
Dy1 0.151 0.250 0.181
Dy2 0.849 0.750 0.819
Y1 0.415 0.750 0.358
Y2 0.585 0.250 0.642
I1 0.080 0.250 0.784
I2 0.174 0.250 0.382
I3 0.219 0.750 0.042
I4 0.364 0.750 0.569
I5 0.475 0.250 0.210
I6 0.525 0.750 0.790
I7 0.636 0.250 0.431
I8 0.781 0.250 0.958
I9 0.826 0.750 0.618
I10 0.920 0.750 0.216

Main lines, sorted by position (2θ = 10–90°):
Position (°2θ), I/Imax
10.87, 100.0
21.87, 28.1
25.43, 27.1
26.26, 54.8
28.69, 87.8
29.26, 42.5
31.68, 33.4
36.19, 37.0
37.45, 29.4
41.07, 25.2



The following is a simulated powder diffraction line list of TbMn9B4. It was derived from a structure optimized by DFT (PBE), using Cu Ka.
Kinematic intensities with the Lorentz-polarization factor, no thermal factor.

Atomic structure:
a = 7.637 Å, b = 7.637 Å, c = 7.637 Å
α = 122.94°, β = 122.94°, γ = 84.98°
Sites, in units of the cell vectors:
Tb1 0.250 0.250 0.000
Tb2 0.750 0.750 0.000
Mn1 0.000 0.500 0.500
Mn2 0.049 0.549 0.237
Mn3 0.080 0.812 0.893
Mn4 0.187 0.951 0.500
Mn5 0.188 0.080 0.268
Mn6 0.312 0.580 0.893
Mn7 0.313 0.813 0.763
Mn8 0.420 0.312 0.732
Mn9 0.451 0.687 0.500
Mn10 0.500 0.000 0.500
Mn11 0.549 0.313 0.500
Mn12 0.580 0.688 0.268
Mn13 0.687 0.187 0.237
Mn14 0.688 0.420 0.107
Mn15 0.812 0.920 0.732
Mn16 0.813 0.049 0.500
Mn17 0.920 0.188 0.107
Mn18 0.951 0.451 0.763
B1 0.038 0.207 0.500
B2 0.207 0.707 0.169
B3 0.293 0.462 0.500
B4 0.462 0.962 0.169
B5 0.538 0.038 0.831
B6 0.707 0.538 0.500
B7 0.793 0.293 0.831
B8 0.962 0.793 0.500

Main lines, sorted by position (2θ = 10–90°):
Position (°2θ), I/Imax
24.40, 18.6
28.48, 21.4
29.17, 11.2
31.78, 26.4
36.35, 21.9
38.39, 16.2
40.47, 17.9
42.34, 100.0
49.15, 17.0
51.29, 22.7